(1)
Structure and theoretical PXRD pattern of Be6Al3Cu20 (the PBE geometry in Alexandria; Cu Kα (λ = 1.5418 Å)).
Peak positions follow from Bragg's law for the DFT cell and can differ from measured ones.

Largest 10 diffraction maxima, low angle first, 2θ = 10–90°:
| Position (°2θ) | I (rel.) | (hkl) |
| --- | --- | --- |
| 32.4 | 12.2 | 4 0 0 |
| 36.4 | 17.6 | 4 2 0 |
| 40.0 | 15.1 | 4 2 2 |
| 42.5 | 100.0 | 3 3 3 |
| 46.5 | 16.1 | 4 4 0 |
| 48.8 | 38.4 | 5 3 1 |
| 49.5 | 16.4 | 6 0 0 |
| 72.6 | 17.5 | 6 6 0 |
| 74.4 | 12.1 | 5 5 5 |
| 86.3 | 13.3 | 8 4 4 |

Atomic structure:
```
data_Be6Al3Cu20
_chemical_formula_sum 'Be24 Al12 Cu80'
_cell_length_a 11.0462
_cell_length_b 11.0462
_cell_length_c 11.0462
_cell_angle_alpha 90.00
_cell_angle_beta 90.00
_cell_angle_gamma 90.00
_space_group_name_H-M_alt 'F m -3 m'
_space_group_IT_number 225
_space_group_name_Hall '-F 4 2 3'
loop_
_atom_site_label
_atom_site_fract_x
_atom_site_fract_y
_atom_site_fract_z
Be1 0.0000 0.0000 0.2291
Al1 0.0000 0.0000 0.5000
Al2 0.2500 0.2500 0.2500
Cu1 0.0000 0.1726 0.3274
Cu2 0.1198 0.1198 0.1198
```

=====

(2)
Structure and theoretical PXRD pattern of BeAlCu (the PBE geometry in Alexandria; Cu Kα (λ = 1.5418 Å)).
Peak positions follow from Bragg's law for the DFT cell and can differ from measured ones.

Largest 10 diffraction maxima, low angle first, 2θ = 10–90°:
| Position (°2θ) | I (rel.) | (hkl) |
| --- | --- | --- |
| 24.1 | 83.7 | 1 0 1 |
| 27.9 | 49.3 | 0 0 2 |
| 39.8 | 37.0 | 2 0 0 |
| 44.9 | 100.0 | 1 2 1 |
| 47.1 | 41.1 | 1 0 3 |
| 47.3 | 29.4 | 0 2 2 |
| 49.3 | 27.7 | 2 0 2 |
| 75.9 | 19.0 | 3 2 1 |
| 77.6 | 17.8 | 1 0 5 |
| 84.4 | 19.1 | 2 2 4 |

Atomic structure:
```
data_BeAlCu
_chemical_formula_sum 'Be4 Al4 Cu4'
_cell_length_a 4.5268
_cell_length_b 4.8177
_cell_length_c 6.3916
_cell_angle_alpha 90.00
_cell_angle_beta 90.00
_cell_angle_gamma 90.00
_space_group_name_H-M_alt 'I m m a'
_space_group_IT_number 74
_space_group_name_Hall '-I 2b 2'
loop_
_atom_site_label
_atom_site_fract_x
_atom_site_fract_y
_atom_site_fract_z
Be1 0.2500 0.2500 0.2500
Al1 0.0000 0.2500 0.6208
Cu1 0.0000 0.0000 0.0000
```

=====

(3)
Structure and theoretical PXRD pattern of Er2Be3AlCu12 (the PBE geometry in Alexandria; Cu Kα (λ = 1.5418 Å)).
Peak positions follow from Bragg's law for the DFT cell and can differ from measured ones.

Largest 10 diffraction maxima, low angle first, 2θ = 10–90°:
| Position (°2θ) | I (rel.) | (hkl) |
| --- | --- | --- |
| 14.6 | 30.0 | 1 0 1 |
| 27.9 | 17.5 | 0 2 1 |
| 29.3 | 18.0 | 0 1 5 |
| 34.5 | 100.0 | 0 2 4 |
| 37.0 | 12.9 | 2 1 1 |
| 38.0 | 45.7 | 2 0 5 |
| 39.4 | 15.2 | 1 1 6 |
| 48.5 | 48.3 | 2 2 0 |
| 50.7 | 19.8 | 2 0 8 |
| 60.9 | 14.7 | 4 0 4 |

Atomic structure:
```
data_Er2Be3AlCu12
_chemical_formula_sum 'Er6 Be9 Al3 Cu36'
_cell_length_a 7.5021
_cell_length_b 7.5021
_cell_length_c 17.2911
_cell_angle_alpha 90.00
_cell_angle_beta 90.00
_cell_angle_gamma 120.00
_space_group_name_H-M_alt 'R -3 m'
_space_group_IT_number 166
_space_group_name_Hall '-R 3 2"'
loop_
_atom_site_label
_atom_site_fract_x
_atom_site_fract_y
_atom_site_fract_z
Er1 0.0000 0.0000 0.0987
Be1 0.0000 0.5000 0.0000
Al1 0.0000 0.0000 0.5000
Cu1 0.0204 0.5102 0.8767
Cu2 0.0401 0.5201 0.3566
```